Structure and theoretical powder X-ray diffraction pattern of Sm3Re2O9 (DFT lattice parameters and positions (GGA-PBE); λ = 1.5418 Å (Cu Kα)).
Intensities are scaled so that the largest is 100.

Crystal structure
```
28
Lattice="5.5611 0.0000 0.0000 2.4977 6.4120 0.0000 2.7428 1.6224 10.4680" Properties=species:S:1:pos:R:3 pbc="T T T"
Sm 1.3371 1.7823 2.8162
Sm 4.1029 2.4109 9.2566
Sm 4.1939 4.4808 3.8702
Sm 6.6076 3.5536 6.5978
Sm 6.6987 5.6235 1.2115
Sm 9.4644 6.2521 7.6518
Re 3.7954 1.7348 5.9432
Re 6.6878 5.4033 9.4915
Re 4.1138 2.6311 0.9766
Re 7.0062 6.2996 4.5248
O 2.5897 1.9186 7.5479
O 2.2206 2.1030 4.9655
O 5.3197 6.7343 9.8425
O 2.8246 3.4897 2.1147
O 4.2499 3.6425 6.0364
O 5.3249 4.3599 8.5711
O 2.8112 1.1897 0.7617
O 5.9101 6.1664 6.2627
O 5.4615 6.4266 3.2654
O 5.3400 1.6078 7.2027
O 4.8914 1.8680 4.2054
O 7.9904 6.8447 9.7064
O 5.4767 3.6745 1.8969
O 6.5517 4.3919 4.4317
O 7.9770 4.5447 8.3533
O 5.4819 1.3001 0.6256
O 8.5809 5.9314 5.5025
O 8.2119 6.1158 2.9201
```

Main lines, by angle (15° ≤ 2θ ≤ 90°):
h k l  two_theta  intensity
1 0 0  17.4  18.4
1 -1 0  25.8  17.4
1 0 -2  26.6  38.7
1 1 3  26.8  100.0
1 2 0  27.9  62.3
0 2 2  30.7  20.0
-1 1 2  31.6  18.1
2 1 1  32.2  48.1
2 3 3  46.0  25.5
-2 1 2  47.6  17.1



Structure and theoretical powder X-ray diffraction pattern of Nd2InPd2 (DFT lattice parameters and positions (GGA-PBE); λ = 1.5418 Å (Cu Kα)).
Intensities are scaled so that the largest is 100.

Crystal structure
```
10
Lattice="7.8771 0.0000 0.0000 0.0000 7.8771 0.0000 0.0000 0.0000 3.8884" Properties=species:S:1:pos:R:3 pbc="T T T"
Nd 1.3793 2.5593 0.0000
Nd 2.5593 6.4979 0.0000
Nd 5.3178 1.3793 0.0000
Nd 6.4979 5.3178 0.0000
In 0.0000 0.0000 1.9442
In 3.9386 3.9386 1.9442
Pd 0.9973 4.9359 1.9442
Pd 2.9412 0.9973 1.9442
Pd 4.9359 6.8798 1.9442
Pd 6.8798 2.9412 1.9442
```

Main lines, by angle (15° ≤ 2θ ≤ 90°):
h k l  two_theta  intensity
2 2 0  32.1  10.7
2 0 1  32.4  35.6
2 1 1  34.4  100.0
3 1 0  36.1  42.4
0 0 2  46.7  15.4
4 1 1  53.4  13.6
3 1 2  60.4  18.5
5 1 1  65.0  11.2
5 2 1  68.5  10.6
2 1 3  78.7  8.9



Structure and theoretical powder X-ray diffraction pattern of V2CoS4 (DFT lattice parameters and positions (GGA-PBE); λ = 1.5418 Å (Cu Kα)).
Intensities are scaled so that the largest is 100.

Crystal structure
```
14
Lattice="11.9360 0.0000 0.0000 0.0000 3.2215 0.0000 -2.5313 0.0000 5.1906" Properties=species:S:1:pos:R:3 pbc="T T T"
V 2.3936 0.0000 0.9792
V 1.0431 1.6107 4.2114
V 8.3616 1.6107 0.9792
V 7.0111 0.0000 4.2114
Co -1.2656 1.6107 2.5953
Co 4.7024 0.0000 2.5953
S -1.1430 1.6107 4.8840
S 0.4050 0.0000 2.4778
S 3.0317 1.6107 2.7127
S 4.5797 0.0000 0.3065
S 4.8250 0.0000 4.8840
S 6.3730 1.6107 2.4778
S 8.9997 0.0000 2.7127
S 10.5477 1.6107 0.3065
```

Main lines, by angle (15° ≤ 2θ ≤ 90°):
h k l  two_theta  intensity
2 0 -1  17.8  56.5
1 1 -1  31.8  32.5
1 1 1  35.7  63.1
4 0 -2  36.1  31.9
3 1 0  37.6  32.7
3 1 1  46.2  55.3
5 1 -1  47.4  100.0
1 1 2  48.6  39.3
3 1 -3  55.7  47.6
0 2 0  57.2  30.5